Ho6TlGe2Se3: computed powder X-ray diffraction pattern (Cu Kα (λ = 1.5418 Å)), based on a crystal structure in Alexandria, relaxed with GGA-PBE.
Intensities are scaled so that the largest is 100.

Structure:
```
12
Lattice="9.1350 -2.0612 0.0000 9.1350 2.0612 0.0000 -2.3507 0.0000 8.0499" Properties=species:S:1:pos:R:3 pbc="T T T"
Ho 17.7172 0.0000 1.8930
Ho -1.7978 0.0000 6.1569
Ho 5.0332 0.0000 3.2939
Ho 3.8172 0.0000 7.4880
Ho 12.1022 0.0000 0.5619
Ho 10.8862 0.0000 4.7559
Tl 7.9597 0.0000 4.0249
Ge 1.0542 0.0000 6.6452
Ge 14.8652 0.0000 1.4047
Se 2.2764 0.0000 2.6374
Se 9.1350 0.0000 0.0000
Se 13.6430 0.0000 5.4125
```

Largest 8 diffraction maxima, most intense first, 5 to 70 degrees two-theta:
30.43 deg, I 100; 30.59 deg, I 49; 42.83 deg, I 38; 44.53 deg, I 34; 54.47 deg, I 19; 43.93 deg, I 18; 43.21 deg, I 18; 63.32 deg, I 12